1.
Starting from a DFT-relaxed cell (GGA-PBE, Alexandria), the X-ray diffraction stick pattern of AcGeBIr3 was simulated for Cu Kα.
Kinematic intensities with the Lorentz-polarization factor, no thermal factor.

Crystal structure
```
AcGeBIr3
1.0
2.9487 -6.2732 0.0000
2.9487 6.2732 0.0000
0.0000 0.0000 5.9116
Ac Ge B Ir
2 2 2 6
Cartesian
2.9487 3.1938 4.4337
2.9487 -3.1938 1.4779
2.9487 4.8563 1.4779
2.9487 -4.8563 4.4337
2.9487 0.3227 1.4779
2.9487 -0.3227 4.4337
1.4991 0.0000 0.0000
1.4991 0.0000 2.9558
2.9487 2.4322 1.4779
2.9487 -2.4322 4.4337
4.3983 0.0000 0.0000
4.3983 0.0000 2.9558
```

The 6 most intense peaks (10° ≤ 2θ ≤ 90°), sorted by position:
28.46 deg, I = 23; 33.55 deg, I = 100; 43.34 deg, I = 37; 52.67 deg, I = 17; 53.72 deg, I = 16; 73.21 deg, I = 15

2.
Starting from a DFT-relaxed cell (GGA-PBE, Alexandria), the X-ray diffraction stick pattern of Ac2GeBPt6 was simulated for Cu Kα.
Kinematic intensities with the Lorentz-polarization factor, no thermal factor.

Crystal structure
```
Ac2GeBPt6
1.0
6.0909 -2.9393 0.0000
6.0909 2.9393 0.0000
-3.3865 0.0000 5.4597
Ac Ge B Pt
2 1 1 6
Cartesian
0.0000 0.0000 0.0000
4.5434 0.0000 2.8258
-0.1261 0.0000 3.7000
7.4590 0.0000 0.8440
9.0933 -1.4268 0.2029
2.2660 0.0000 5.1932
9.0933 1.4268 0.2029
7.6053 1.4241 2.5982
10.0099 0.0000 2.4329
7.6053 -1.4241 2.5982
```

The 6 most intense peaks (10° ≤ 2θ ≤ 90°), sorted by position:
32.81 deg, I = 100; 34.66 deg, I = 40; 35.11 deg, I = 90; 40.59 deg, I = 23; 41.65 deg, I = 70; 55.27 deg, I = 35

3.
Starting from a DFT-relaxed cell (GGA-PBE, Alexandria), the X-ray diffraction stick pattern of Ac2GeBRh6 was simulated for Cu Kα.
Kinematic intensities with the Lorentz-polarization factor, no thermal factor.

Crystal structure
```
Ac2GeBRh6
1.0
6.3698 0.0000 0.0000
0.0000 9.0105 0.0000
0.0000 0.0000 6.3711
Ac Ge B Rh
4 2 2 12
Cartesian
1.5924 9.0098 1.5890
1.5924 4.5060 1.5890
4.7773 0.0007 4.7820
4.7773 4.5045 4.7820
1.5924 2.2526 4.8014
4.7773 6.7579 1.5696
1.5924 6.7579 4.7567
4.7773 2.2526 1.6144
0.1019 6.7579 3.2871
0.1199 6.7579 6.2487
1.5924 4.6640 4.7653
1.5924 8.8517 4.7653
3.0650 6.7579 6.2487
3.0830 6.7579 3.2871
3.2868 2.2526 3.0840
3.3047 2.2526 0.1224
4.7773 0.1588 1.6057
4.7773 4.3465 1.6057
6.2499 2.2526 0.1224
6.2679 2.2526 3.0840
```

The 6 most intense peaks (10° ≤ 2θ ≤ 90°), sorted by position:
28.01 deg, I = 28; 34.48 deg, I = 100; 40.03 deg, I = 68; 57.90 deg, I = 44; 69.16 deg, I = 37; 72.72 deg, I = 14

4.
Starting from a DFT-relaxed cell (GGA-PBE, Alexandria), the X-ray diffraction stick pattern of AcB2H2Pt6 was simulated for Cu Kα.
Kinematic intensities with the Lorentz-polarization factor, no thermal factor.

Crystal structure
```
AcB2H2Pt6
1.0
5.7594 0.0000 0.0000
2.8735 5.0645 0.0000
2.8223 -1.3998 5.3606
Ac B H Pt
1 2 2 6
Cartesian
0.0000 0.0000 0.0000
5.7023 0.2975 5.3466
5.7529 3.3671 0.0139
2.8244 0.1147 3.1088
8.6308 3.5499 2.2518
4.2824 1.1632 3.9159
2.8772 -0.0207 1.4093
4.3388 2.4978 1.4511
7.1164 1.1668 3.9095
8.5780 3.6853 3.9512
7.1728 2.5014 1.4446
```

The 6 most intense peaks (10° ≤ 2θ ≤ 90°), sorted by position:
33.43 deg, I = 38; 36.12 deg, I = 65; 36.25 deg, I = 100; 36.68 deg, I = 35; 64.00 deg, I = 26; 64.74 deg, I = 18

5.
Starting from a DFT-relaxed cell (GGA-PBE, Alexandria), the X-ray diffraction stick pattern of AcHfBO5 was simulated for Cu Kα.
Kinematic intensities with the Lorentz-polarization factor, no thermal factor.

Crystal structure
```
AcHfBO5
1.0
3.3382 -4.5091 0.0000
3.3382 4.5091 0.0000
-2.6691 0.0000 6.8000
Ac Hf B O
2 2 2 10
Cartesian
1.3364 3.1046 5.1000
2.6710 -3.1046 1.7000
3.3382 0.0000 0.0000
2.0037 0.0000 3.4000
2.6710 2.8311 1.7000
1.3364 -2.8311 5.1000
-1.2396 0.7595 6.0816
1.7385 1.9476 2.5298
0.0950 -0.7595 2.6816
3.6035 1.9476 0.8702
1.3364 0.7376 5.1000
2.6710 -0.7376 1.7000
0.4039 -1.9476 5.9298
3.9124 0.7595 4.1184
2.2689 -1.9476 4.2702
5.2469 -0.7595 0.7184
```

The 6 most intense peaks (10° ≤ 2θ ≤ 90°), sorted by position:
18.29 deg, I = 60; 23.68 deg, I = 41; 26.76 deg, I = 100; 28.73 deg, I = 74; 33.00 deg, I = 41; 33.10 deg, I = 87

6.
Starting from a DFT-relaxed cell (GGA-PBE, Alexandria), the X-ray diffraction stick pattern of AcInB12 was simulated for Cu Kα.
Kinematic intensities with the Lorentz-polarization factor, no thermal factor.

Crystal structure
```
AcInB12
1.0
0.0000 4.2331 4.2331
4.2331 0.0000 4.2331
4.2331 4.2331 0.0000
Ac In B
1 1 12
Cartesian
0.0000 0.0000 0.0000
4.2331 4.2331 4.2331
2.1166 2.1166 0.8616
2.1166 0.8616 2.1166
3.3716 2.1166 2.1166
0.8616 2.1166 2.1166
2.1166 3.3716 2.1166
2.1166 2.1166 3.3716
6.3497 6.3497 5.0947
6.3497 5.0947 6.3497
7.6047 6.3497 6.3497
5.0947 6.3497 6.3497
6.3497 7.6047 6.3497
6.3497 6.3497 7.6047
```

The 6 most intense peaks (10° ≤ 2θ ≤ 90°), sorted by position:
20.99 deg, I = 69; 29.85 deg, I = 100; 36.77 deg, I = 41; 48.06 deg, I = 51; 52.99 deg, I = 29; 66.23 deg, I = 28

7.
Starting from a DFT-relaxed cell (GGA-PBE, Alexandria), the X-ray diffraction stick pattern of AcIn3B4O12 was simulated for Cu Kα.
Kinematic intensities with the Lorentz-polarization factor, no thermal factor.

Crystal structure
```
AcIn3B4O12
1.0
5.0389 2.9092 2.7690
-5.0389 2.9092 2.7690
0.0000 -5.8184 2.7690
Ac In B O
1 3 4 12
Cartesian
0.0000 0.0000 0.0000
-2.7426 -1.0682 2.7690
2.2964 -1.8410 2.7690
0.4462 2.9092 2.7690
-2.2765 -3.9429 4.1535
0.0000 0.0000 4.1535
-2.2765 3.9429 4.1535
4.5529 0.0000 4.1535
-3.0080 -2.7827 4.0229
-4.1252 0.0000 4.1535
-0.9058 -3.9964 4.2841
-1.3914 0.0000 4.1535
-3.0080 2.7827 4.2841
2.0626 -3.5726 4.1535
0.6957 -1.2050 4.1535
-0.9058 3.9964 4.0229
0.6957 1.2050 4.1535
3.9139 -1.2137 4.0229
2.0626 3.5726 4.1535
3.9139 1.2137 4.2841
```

The 6 most intense peaks (10° ≤ 2θ ≤ 90°), sorted by position:
23.02 deg, I = 100; 29.69 deg, I = 97; 35.64 deg, I = 31; 42.85 deg, I = 19; 48.55 deg, I = 23; 48.87 deg, I = 32

8.
Starting from a DFT-relaxed cell (GGA-PBE, Alexandria), the X-ray diffraction stick pattern of AcBIr2 was simulated for Cu Kα.
Kinematic intensities with the Lorentz-polarization factor, no thermal factor.

Crystal structure
```
AcBIr2
1.0
3.3844 -4.1852 0.0000
3.3844 4.1852 0.0000
0.0000 0.0000 6.2074
Ac B Ir
2 2 4
Cartesian
1.6922 2.0926 0.0000
1.6922 -2.0926 3.1037
0.0000 0.0000 1.5519
0.0000 0.0000 4.6556
1.0896 0.9534 3.1037
1.0896 -0.9534 0.0000
5.6792 0.9534 0.0000
5.6792 -0.9534 3.1037
```

The 6 most intense peaks (10° ≤ 2θ ≤ 90°), sorted by position:
16.85 deg, I = 40; 26.33 deg, I = 38; 28.76 deg, I = 74; 37.11 deg, I = 50; 37.77 deg, I = 100; 57.06 deg, I = 31